Diffraction record for Ca2Cd12Hg7. The powder diffraction line list is theoretical, not measured: it uses a cell relaxed with GGA-PBE and Cu Ka.

Atomic structure:
```
data_Ca2Cd12Hg7
_space_group_name_H-M_alt 'P -6'
_space_group_IT_number 174
_cell_length_a 12.4317
_cell_length_b 12.4317
_cell_length_c 3.8227
_cell_angle_alpha 90.00
_cell_angle_beta 90.00
_cell_angle_gamma 120.00
loop_
_space_group_symop_operation_xyz
'x,y,z'
'-x+y,-x,-z'
'-y,x-y,z'
'x,y,-z'
'-x+y,-x,z'
'-y,x-y,-z'
loop_
_atom_site_label
_atom_site_type_symbol
_atom_site_fract_x
_atom_site_fract_y
_atom_site_fract_z
Ca1 Ca 0.0000 0.0000 0.0000
Ca2 Ca 0.3333 0.6667 0.5000
Cd1 Cd 0.0555 0.7824 0.5000
Cd2 Cd 0.1137 0.3951 0.0000
Cd3 Cd 0.4037 0.2484 0.0000
Cd4 Cd 0.5069 0.0975 0.5000
Hg1 Hg 0.0975 0.6157 0.0000
Hg2 Hg 0.2353 0.0478 0.5000
Hg3 Hg 0.6667 0.3333 0.0000
```

Principal peaks in the range 2θ from 10° to 90°, in order of falling intensity:
d [Å]  Position (°2θ)  I (rel.)  h k l
2.351  38.29  100.0  4 1 0
2.786  32.13  59.1  1 2 1
1.483  62.66  31.8  4 1 2
4.069  21.84  22.7  1 2 0
3.602  24.72  21.5  1 0 1
2.616  34.27  19.5  3 0 1
1.911  47.57  15.4  0 0 2
2.412  37.29  13.9  2 2 1
2.201  41.01  11.7  4 0 1
1.427  65.41  10.0  3 5 1